# 1
This entry pairs a crystal structure of AcDy4Se8 with its computed powder XRD pattern. Radiation: CuKα. Structure: a GGA-PBE-relaxed structure.
Peak positions follow from Bragg's law for the DFT cell and can differ from measured ones.

Atomic structure:
```
data_AcDy4Se8
_chemical_formula_sum 'Ac3 Dy12 Se24'
_cell_length_a 8.1764
_cell_length_b 8.1764
_cell_length_c 22.0151
_cell_angle_alpha 90.00
_cell_angle_beta 90.00
_cell_angle_gamma 120.00
_symmetry_space_group_name_H-M 'R -3 m'
_symmetry_Int_Tables_number 166
_symmetry_space_group_name_Hall '-R 3 2"'
loop_
_atom_site_label
_atom_site_fract_x
_atom_site_fract_y
_atom_site_fract_z
Ac1 0.0000 0.0000 0.0000
Dy1 0.0000 0.0000 0.5000
Dy2 0.0000 0.5000 0.5000
Se1 0.0000 0.0000 0.2388
Se2 0.0013 0.5007 0.2415
```

Main lines, sorted by position (2θ from 10° to 80°):
(hkl)	two_theta	Rel. int.
0 0 3	12.1	37
1 0 1	13.1	15
0 2 4	30.0	100
2 0 8	41.6	38
2 2 0	44.3	35
4 0 4	54.4	19
2 2 12	68.8	15
2 4 4	72.7	16

# 2
This entry pairs a crystal structure of ZnCr2S5 with its computed powder XRD pattern. Radiation: CuKα. Structure: a GGA-PBE-relaxed structure.
Peak positions follow from Bragg's law for the DFT cell and can differ from measured ones.

Atomic structure:
```
data_ZnCr2S5
_chemical_formula_sum 'Zn2 Cr4 S10'
_cell_length_a 3.643
_cell_length_b 13.931
_cell_length_c 6.485
_cell_angle_alpha 90.00
_cell_angle_beta 90.00
_cell_angle_gamma 90.00
_symmetry_space_group_name_H-M 'P m m n'
_symmetry_Int_Tables_number 59
loop_
_symmetry_equiv_pos_as_xyz
'x,y,z'
'-x,-y,-z'
'-x+1/2,-y+1/2,z'
'x+1/2,y+1/2,-z'
'x+1/2,-y,-z'
'-x+1/2,y,z'
'-x,y+1/2,-z'
'x,-y+1/2,z'
loop_
_atom_site_label
_atom_site_fract_x
_atom_site_fract_y
_atom_site_fract_z
Zn1 0.250 0.250 0.075
Cr1 0.250 0.601 0.503
S1 0.250 0.043 0.311
S2 0.250 0.673 0.182
S3 0.250 0.750 0.688
```

Main lines, sorted by position (2θ from 10° to 80°):
(hkl)	two_theta	Rel. int.
0 2 1	18.7	100
1 0 1	28.1	37
1 1 1	28.8	54
0 4 1	29.1	31
0 5 1	35.1	37
1 2 2	39.4	41
1 3 2	42.1	66
1 7 1	54.4	36

# 3
This entry pairs a crystal structure of PmMgCu2Sn2 with its computed powder XRD pattern. Radiation: CuKα. Structure: a GGA-PBE-relaxed structure.
Peak positions follow from Bragg's law for the DFT cell and can differ from measured ones.

Atomic structure:
```
data_PmMgCu2Sn2
_chemical_formula_sum 'Pm1 Mg1 Cu2 Sn2'
_cell_length_a 4.5070
_cell_length_b 4.5070
_cell_length_c 7.1268
_cell_angle_alpha 90.00
_cell_angle_beta 90.00
_cell_angle_gamma 120.00
_symmetry_space_group_name_H-M 'P -3 m 1'
_symmetry_Int_Tables_number 164
_symmetry_space_group_name_Hall '-P 3 2"'
loop_
_atom_site_label
_atom_site_fract_x
_atom_site_fract_y
_atom_site_fract_z
Pm1 0.0000 0.0000 0.0000
Mg1 0.0000 0.0000 0.5000
Cu1 0.3333 0.6667 0.6890
Sn1 0.3333 0.6667 0.2627
```

Main lines, sorted by position (2θ from 10° to 80°):
(hkl)	two_theta	Rel. int.
0 1 1	26.0	57
0 1 2	34.1	100
1 1 0	40.0	83
2 0 2	53.5	27
1 1 3	56.3	18
1 1 4	67.0	20
1 2 2	68.9	26
3 0 0	72.7	14